Entry 1:
Diffraction record for BaCaEuNbO6. The XRD peak list is simulated, not measured: it uses a GGA-PBE-relaxed structure and copper Kα.
Kinematic intensities with the Lorentz-polarization factor, no thermal factor.

Crystal structure
Cell: 5.946 6.034 8.474 Å, 90.71 90.58 90.38°
Space group P-1 (No. 2)
Unique sites:
Ba (0.006, 0.034, 0.251) (multiplicity 2)
Ca (0.490, 0.545, 0.254) (multiplicity 2)
Eu (0.000, 0.500, 0.500) (multiplicity 1)
Eu (0.500, 0.000, 0.000) (multiplicity 1)
Nb (0.000, 0.500, 0.000) (multiplicity 1)
Nb (0.500, 0.000, 0.500) (multiplicity 1)
O (0.108, 0.503, 0.769) (multiplicity 2)
O (0.193, 0.771, 0.042) (multiplicity 2)
O (0.227, 0.805, 0.468) (multiplicity 2)
O (0.273, 0.313, 0.060) (multiplicity 2)
O (0.319, 0.280, 0.447) (multiplicity 2)
O (0.433, 0.055, 0.732) (multiplicity 2)

Most intense lines, 15° ≤ 2θ ≤ 90°, sorted by position:
29.6 deg, I = 933, (1 1 -2); 29.8 deg, I = 1000, (1 -1 2); 30.1 deg, I = 899, (2 0 0); 42.6 deg, I = 247, (2 -2 0); 42.7 deg, I = 266, (0 0 4); 42.9 deg, I = 249, (2 2 0); 52.4 deg, I = 289, (0 2 -4); 53.1 deg, I = 301, (3 1 -2)

=====

Entry 2:
Diffraction record for BaCaEuNbO6. The XRD peak list is simulated, not measured: it uses a GGA-PBE-relaxed structure and copper Kα.
Kinematic intensities with the Lorentz-polarization factor, no thermal factor.

Crystal structure
Cell: 8.490 8.490 8.490 Å, 90.00 90.00 90.00°
Space group F-43m (No. 216)
Unique sites:
Ba (0.000, 0.000, 0.000) (multiplicity 4)
Ca (0.250, 0.250, 0.250) (multiplicity 4)
Eu (0.000, 0.000, 0.500) (multiplicity 4)
Nb (0.250, 0.250, 0.750) (multiplicity 4)
O (0.014, 0.250, 0.750) (multiplicity 24)

Most intense lines, 15° ≤ 2θ ≤ 90°, sorted by position:
20.9 deg, I = 86, (2 0 0); 29.8 deg, I = 1000, (2 2 0); 36.7 deg, I = 150, (2 2 2); 42.6 deg, I = 325, (4 0 0); 52.8 deg, I = 398, (4 2 2); 61.8 deg, I = 198, (4 4 0); 70.1 deg, I = 177, (6 2 0); 85.6 deg, I = 210, (6 4 2)

=====

Entry 3:
Diffraction record for BaCaEuNbO6. The XRD peak list is simulated, not measured: it uses a GGA-PBE-relaxed structure and copper Kα.
Kinematic intensities with the Lorentz-polarization factor, no thermal factor.

Crystal structure
Cell: 8.553 8.553 8.553 Å, 90.00 90.00 90.00°
Space group F-43m (No. 216)
Unique sites:
Ba (0.000, 0.000, 0.000) (multiplicity 4)
Ca (0.000, 0.000, 0.500) (multiplicity 4)
Eu (0.250, 0.250, 0.750) (multiplicity 4)
Nb (0.250, 0.250, 0.250) (multiplicity 4)
O (0.015, 0.250, 0.250) (multiplicity 24)

Most intense lines, 15° ≤ 2θ ≤ 90°, sorted by position:
18.0 deg, I = 139, (1 1 1); 29.5 deg, I = 1000, (2 2 0); 34.8 deg, I = 99, (3 1 1); 42.3 deg, I = 325, (4 0 0); 52.4 deg, I = 399, (4 2 2); 61.3 deg, I = 199, (4 4 0); 69.5 deg, I = 178, (6 2 0); 84.8 deg, I = 210, (6 4 2)

=====

Entry 4:
Diffraction record for BaCaEuNbO6. The XRD peak list is simulated, not measured: it uses a GGA-PBE-relaxed structure and copper Kα.
Kinematic intensities with the Lorentz-polarization factor, no thermal factor.

Crystal structure
Cell: 8.433 8.470 8.484 Å, 90.00 90.00 90.00°
Space group P222 (No. 16)
Unique sites:
Ba (0.000, 0.000, 0.000) (multiplicity 1)
Ba (0.000, 0.000, 0.500) (multiplicity 1)
Ba (0.500, 0.000, 0.000) (multiplicity 1)
Ba (0.500, 0.500, 0.000) (multiplicity 1)
Ca (0.000, 0.500, 0.000) (multiplicity 1)
Ca (0.000, 0.500, 0.500) (multiplicity 1)
Ca (0.500, 0.000, 0.500) (multiplicity 1)
Ca (0.500, 0.500, 0.500) (multiplicity 1)
Eu (0.247, 0.255, 0.253) (multiplicity 4)
Nb (0.253, 0.255, 0.742) (multiplicity 4)
O (0.019, 0.295, 0.694) (multiplicity 4)
O (0.205, 0.300, 0.978) (multiplicity 4)
O (0.219, 0.020, 0.778) (multiplicity 4)
O (0.296, 0.485, 0.693) (multiplicity 4)
O (0.297, 0.198, 0.515) (multiplicity 4)
O (0.484, 0.232, 0.793) (multiplicity 4)

Most intense lines, 15° ≤ 2θ ≤ 90°, sorted by position:
29.9 deg, I = 1000, (2 0 2); 42.7 deg, I = 185, (0 4 0); 42.9 deg, I = 93, (4 0 0); 53.0 deg, I = 298, (2 4 2); 53.1 deg, I = 148, (4 2 2); 62.1 deg, I = 106, (4 4 0); 85.9 deg, I = 73, (4 6 2); 86.1 deg, I = 72, (6 4 2)

=====

Entry 5:
Diffraction record for BaCaEuNbO6. The XRD peak list is simulated, not measured: it uses a GGA-PBE-relaxed structure and copper Kα.
Kinematic intensities with the Lorentz-polarization factor, no thermal factor.

Crystal structure
Cell: 8.471 8.483 8.513 Å, 90.00 90.00 90.00°
Space group Pnnn (No. 48, origin choice 2)
Unique sites:
Ba (0.250, 0.250, 0.250) (multiplicity 2)
Ba (0.250, 0.750, 0.750) (multiplicity 2)
Ca (0.000, 0.000, 0.000) (multiplicity 4)
Eu (0.250, 0.250, 0.750) (multiplicity 2)
Eu (0.250, 0.750, 0.250) (multiplicity 2)
Nb (0.000, 0.000, 0.500) (multiplicity 4)
O (0.033, 0.234, 0.470) (multiplicity 8)
O (0.061, 0.037, 0.733) (multiplicity 8)
O (0.232, 0.547, 0.056) (multiplicity 8)

Most intense lines, 15° ≤ 2θ ≤ 90°, sorted by position:
29.8 deg, I = 1000, (2 0 2); 36.7 deg, I = 116, (2 2 2); 42.5 deg, I = 94, (0 0 4); 42.7 deg, I = 184, (0 4 0); 52.8 deg, I = 149, (2 2 4); 52.9 deg, I = 304, (2 4 2); 61.8 deg, I = 106, (0 4 4); 85.7 deg, I = 76, (6 4 2)